1.
This entry pairs a crystal structure of TbSn2Pd4 with its calculated XRD peak list. Radiation: Cu Ka. Structure: DFT lattice parameters and positions (GGA-PBE).
Kinematic intensities with the Lorentz-polarization factor, no thermal factor.

Top 10 peaks for 10 to 90 degrees two-theta, in order of rising 2θ:
two_theta  I/Imax  h k l
31.59  25  2 2 0
32.60  100  2 1 1
35.44  42  3 1 0
38.11  58  2 2 1
41.43  82  3 1 1
42.24  43  0 0 2
46.76  27  4 1 0
56.28  22  3 1 2
61.84  24  4 3 1
64.82  21  4 1 2

Structure:
```
data_TbSn2Pd4
_chemical_formula_sum 'Tb2 Sn4 Pd8'
_space_group_name_H-M_alt 'P 42/m n m'
_space_group_IT_number 136
_space_group_name_Hall '-P 4n 2n'
_cell_length_a 8.0098
_cell_length_b 8.0098
_cell_length_c 4.2792
_cell_angle_alpha 90.00
_cell_angle_beta 90.00
_cell_angle_gamma 90.00
loop_
_atom_site_label
_atom_site_type_symbol
_atom_site_fract_x
_atom_site_fract_y
_atom_site_fract_z
_atom_site_occupancy
Tb1 Tb 0.0000 0.0000 0.0000 1
Sn1 Sn 0.2153 0.2153 0.5000 1
Pd1 Pd 0.0932 0.6525 0.5000 1
```

***

2.
This entry pairs a crystal structure of Tb3Sn2Pd6 with its calculated XRD peak list. Radiation: Cu Ka. Structure: DFT lattice parameters and positions (GGA-PBE).
Kinematic intensities with the Lorentz-polarization factor, no thermal factor.

Top 10 peaks for 10 to 90 degrees two-theta, in order of rising 2θ:
two_theta  I/Imax  h k l
12.94  12  1 1 0
29.20  16  3 1 0
32.05  33  2 2 2
34.70  26  3 2 1
37.18  17  4 0 0
39.53  100  3 3 0
41.76  15  4 2 0
58.85  13  5 3 2
63.83  20  6 2 2
71.70  26  6 3 3

Structure:
```
data_Tb3Sn2Pd6
_chemical_formula_sum 'Tb12 Sn8 Pd24'
_space_group_name_H-M_alt 'I m -3 m'
_space_group_IT_number 229
_space_group_name_Hall '-I 4 2 3'
_cell_length_a 9.6729
_cell_length_b 9.6729
_cell_length_c 9.6729
_cell_angle_alpha 90.00
_cell_angle_beta 90.00
_cell_angle_gamma 90.00
loop_
_atom_site_label
_atom_site_type_symbol
_atom_site_fract_x
_atom_site_fract_y
_atom_site_fract_z
_atom_site_occupancy
Tb1 Tb 0.0000 0.0000 0.2888 1
Sn1 Sn 0.2500 0.2500 0.2500 1
Pd1 Pd 0.0000 0.3424 0.3424 1
```

***

3.
This entry pairs a crystal structure of SnTePd with its calculated XRD peak list. Radiation: Cu Ka. Structure: DFT lattice parameters and positions (GGA-PBE).
Kinematic intensities with the Lorentz-polarization factor, no thermal factor.

Top 10 peaks for 10 to 90 degrees two-theta, in order of rising 2θ:
two_theta  I/Imax  h k l
29.96  54  0 2 2
30.38  100  1 0 4
30.65  46  1 2 1
30.76  94  2 1 1
32.90  50  1 2 2
33.01  50  2 1 2
43.30  61  1 3 1
43.83  44  0 2 5
45.22  75  3 1 2
45.73  48  1 1 6

Structure:
```
data_SnTePd
_chemical_formula_sum 'Sn8 Te8 Pd8'
_space_group_name_H-M_alt 'P b c a'
_space_group_IT_number 61
_cell_length_a 6.6562
_cell_length_b 6.6982
_cell_length_c 13.1185
_cell_angle_alpha 90.00
_cell_angle_beta 90.00
_cell_angle_gamma 90.00
loop_
_space_group_symop_operation_xyz
'x,y,z'
'-x,-y,-z'
'-x+1/2,-y,z+1/2'
'x+1/2,y,-z+1/2'
'x+1/2,-y+1/2,-z'
'-x+1/2,y+1/2,z'
'-x,y+1/2,-z+1/2'
'x,-y+1/2,z+1/2'
loop_
_atom_site_label
_atom_site_type_symbol
_atom_site_fract_x
_atom_site_fract_y
_atom_site_fract_z
_atom_site_occupancy
Sn1 Sn 0.1417 0.1825 0.0638 1
Te1 Te 0.1265 0.5529 0.8211 1
Pd1 Pd 0.0025 0.6769 0.6289 1
```

***

4.
This entry pairs a crystal structure of Sn2Te2Pd7 with its calculated XRD peak list. Radiation: Cu Ka. Structure: DFT lattice parameters and positions (GGA-PBE).
Kinematic intensities with the Lorentz-polarization factor, no thermal factor.

Top 10 peaks for 10 to 90 degrees two-theta, in order of rising 2θ:
two_theta  I/Imax  h k l
33.39  29  3 1 0
33.79  41  2 0 1
36.58  99  0 4 0
38.57  42  2 2 1
39.68  100  2 2 -2
42.23  31  0 2 2
42.57  20  3 3 0
43.65  90  4 2 -1
50.65  26  2 4 1
70.75  27  4 6 -1

Structure:
```
data_Sn2Te2Pd7
_chemical_formula_sum 'Sn4 Te4 Pd14'
_space_group_name_H-M_alt 'C 1 2/m 1'
_space_group_IT_number 12
_cell_length_a 9.1569
_cell_length_b 9.8251
_cell_length_c 5.2021
_cell_angle_alpha 90.00
_cell_angle_beta 113.93
_cell_angle_gamma 90.00
loop_
_space_group_symop_operation_xyz
'x,y,z'
'-x,-y,-z'
'-x,y,-z'
'x,-y,z'
'x+1/2,y+1/2,z'
'-x+1/2,-y+1/2,-z'
'-x+1/2,y+1/2,-z'
'x+1/2,-y+1/2,z'
loop_
_atom_site_label
_atom_site_type_symbol
_atom_site_fract_x
_atom_site_fract_y
_atom_site_fract_z
_atom_site_occupancy
Sn1 Sn 0.0000 0.2480 0.0000 1
Te1 Te 0.2250 0.0000 0.5361 1
Pd1 Pd 0.0000 0.5000 0.5000 1
Pd2 Pd 0.1604 0.0000 0.9952 1
Pd3 Pd 0.1696 0.2553 0.6868 1
```

***

5.
This entry pairs a crystal structure of SnTePd with its calculated XRD peak list. Radiation: Cu Ka. Structure: DFT lattice parameters and positions (GGA-PBE).
Kinematic intensities with the Lorentz-polarization factor, no thermal factor.

Top 10 peaks for 10 to 90 degrees two-theta, in order of rising 2θ:
two_theta  I/Imax  h k l
28.45  78  2 1 -1
28.91  91  0 0 2
29.25  100  1 2 0
31.64  38  0 1 2
36.13  51  2 2 -1
40.58  52  1 1 2
41.21  45  3 1 -1
41.31  70  1 3 -1
46.57  46  2 2 1
46.90  33  3 1 -3

Structure:
```
data_SnTePd
_chemical_formula_sum 'Sn4 Te4 Pd4'
_space_group_name_H-M_alt 'P 1 21/c 1'
_space_group_IT_number 14
_cell_length_a 7.0122
_cell_length_b 7.0366
_cell_length_c 7.0447
_cell_angle_alpha 90.00
_cell_angle_beta 118.74
_cell_angle_gamma 90.00
loop_
_space_group_symop_operation_xyz
'x,y,z'
'-x,-y,-z'
'-x,y+1/2,-z+1/2'
'x,-y+1/2,z+1/2'
loop_
_atom_site_label
_atom_site_type_symbol
_atom_site_fract_x
_atom_site_fract_y
_atom_site_fract_z
_atom_site_occupancy
Sn1 Sn 0.0560 0.2062 0.1526 1
Te1 Te 0.3814 0.5154 0.2080 1
Pd1 Pd 0.2482 0.6344 0.7749 1
```

***

6.
This entry pairs a crystal structure of SnTe2Pd9 with its calculated XRD peak list. Radiation: Cu Ka. Structure: DFT lattice parameters and positions (GGA-PBE).
Kinematic intensities with the Lorentz-polarization factor, no thermal factor.

Top 8 peaks for 10 to 90 degrees two-theta, in order of rising 2θ:
two_theta  I/Imax  h k l
38.23  100  1 1 3
44.20  16  0 0 6
44.56  32  2 0 0
64.57  21  2 0 6
64.85  10  2 2 0
77.33  12  1 1 9
77.85  24  3 1 3
81.84  11  2 2 6

Structure:
```
data_SnTe2Pd9
_chemical_formula_sum 'Sn1 Te2 Pd9'
_space_group_name_H-M_alt 'P 4/m m m'
_space_group_IT_number 123
_space_group_name_Hall '-P 4 2'
_cell_length_a 4.0666
_cell_length_b 4.0666
_cell_length_c 12.2950
_cell_angle_alpha 90.00
_cell_angle_beta 90.00
_cell_angle_gamma 90.00
loop_
_atom_site_label
_atom_site_type_symbol
_atom_site_fract_x
_atom_site_fract_y
_atom_site_fract_z
_atom_site_occupancy
Sn1 Sn 0.0000 0.0000 0.0000 1
Te1 Te 0.0000 0.0000 0.3338 1
Pd1 Pd 0.0000 0.5000 0.1611 1
Pd2 Pd 0.0000 0.5000 0.5000 1
Pd3 Pd 0.5000 0.5000 0.0000 1
Pd4 Pd 0.5000 0.5000 0.3286 1
```

***

7.
This entry pairs a crystal structure of Th4Sn8Pd with its calculated XRD peak list. Radiation: Cu Ka. Structure: DFT lattice parameters and positions (GGA-PBE).
Kinematic intensities with the Lorentz-polarization factor, no thermal factor.

Top 10 peaks for 10 to 90 degrees two-theta, in order of rising 2θ:
two_theta  I/Imax  h k l
22.35  9  1 0 2
30.35  15  0 0 6
32.07  100  1 1 3
32.17  13  0 1 5
36.58  13  1 0 6
39.97  19  0 2 0
40.50  18  2 0 0
58.21  13  2 2 0
67.66  14  1 3 3
68.39  12  3 1 3

Structure:
```
data_Th4Sn8Pd
_chemical_formula_sum 'Th4 Sn8 Pd1'
_space_group_name_H-M_alt 'P m m 2'
_space_group_IT_number 25
_cell_length_a 4.4547
_cell_length_b 4.5115
_cell_length_c 17.6707
_cell_angle_alpha 90.00
_cell_angle_beta 90.00
_cell_angle_gamma 90.00
loop_
_space_group_symop_operation_xyz
'x,y,z'
'-x,-y,z'
'-x,y,z'
'x,-y,z'
loop_
_atom_site_label
_atom_site_type_symbol
_atom_site_fract_x
_atom_site_fract_y
_atom_site_fract_z
_atom_site_occupancy
Th1 Th 0.0000 0.0000 0.0000 1
Th2 Th 0.0000 0.5000 0.4843 1
Th3 Th 0.5000 0.0000 0.7865 1
Th4 Th 0.5000 0.5000 0.2853 1
Sn1 Sn 0.0000 0.0000 0.3242 1
Sn2 Sn 0.0000 0.0000 0.6238 1
Sn3 Sn 0.0000 0.5000 0.1428 1
Sn4 Sn 0.0000 0.5000 0.8539 1
Sn5 Sn 0.5000 0.0000 0.1426 1
Sn6 Sn 0.5000 0.0000 0.4418 1
Sn7 Sn 0.5000 0.5000 0.6229 1
Sn8 Sn 0.5000 0.5000 0.9625 1
Pd1 Pd 0.0000 0.5000 0.7077 1
```

***

8.
This entry pairs a crystal structure of ThSn4Pd2 with its calculated XRD peak list. Radiation: Cu Ka. Structure: DFT lattice parameters and positions (GGA-PBE).
Kinematic intensities with the Lorentz-polarization factor, no thermal factor.

Top 10 peaks for 10 to 90 degrees two-theta, in order of rising 2θ:
two_theta  I/Imax  h k l
32.42  56  5 1 1
32.86  100  2 1 2
33.54  27  6 1 0
33.93  39  7 0 1
39.81  43  0 2 0
41.98  14  6 1 2
53.28  22  7 2 1
60.31  19  9 1 3
67.66  14  0 1 5
67.90  15  2 3 2

Structure:
```
data_ThSn4Pd2
_chemical_formula_sum 'Th4 Sn16 Pd8'
_space_group_name_H-M_alt 'P n m a'
_space_group_IT_number 62
_cell_length_a 19.8535
_cell_length_b 4.5283
_cell_length_c 7.2685
_cell_angle_alpha 90.00
_cell_angle_beta 90.00
_cell_angle_gamma 90.00
loop_
_space_group_symop_operation_xyz
'x,y,z'
'-x,-y,-z'
'-x+1/2,-y,z+1/2'
'x+1/2,y,-z+1/2'
'x+1/2,-y+1/2,-z+1/2'
'-x+1/2,y+1/2,z+1/2'
'-x,y+1/2,-z'
'x,-y+1/2,z'
loop_
_atom_site_label
_atom_site_type_symbol
_atom_site_fract_x
_atom_site_fract_y
_atom_site_fract_z
_atom_site_occupancy
Th1 Th 0.1377 0.2500 0.0347 1
Sn1 Sn 0.0261 0.7500 0.1391 1
Sn2 Sn 0.0680 0.2500 0.5059 1
Sn3 Sn 0.1811 0.7500 0.7262 1
Sn4 Sn 0.2023 0.7500 0.3008 1
Pd1 Pd 0.0408 0.7500 0.7489 1
Pd2 Pd 0.2103 0.2500 0.5030 1
```

***

9.
This entry pairs a crystal structure of ThSnPd6 with its calculated XRD peak list. Radiation: Cu Ka. Structure: DFT lattice parameters and positions (GGA-PBE).
Kinematic intensities with the Lorentz-polarization factor, no thermal factor.

Top 10 peaks for 10 to 90 degrees two-theta, in order of rising 2θ:
two_theta  I/Imax  h k l
21.37  3  1 0 0
24.01  3  1 0 1
37.70  100  1 1 2
43.53  33  2 0 0
44.37  16  0 0 4
63.25  11  2 2 0
63.90  21  2 0 4
76.03  26  3 1 2
77.24  12  1 1 6
80.50  11  2 2 4

Structure:
```
data_ThSnPd6
_chemical_formula_sum 'Th1 Sn1 Pd6'
_space_group_name_H-M_alt 'P 4/m m m'
_space_group_IT_number 123
_space_group_name_Hall '-P 4 2'
_cell_length_a 4.1586
_cell_length_b 4.1586
_cell_length_c 8.1667
_cell_angle_alpha 90.00
_cell_angle_beta 90.00
_cell_angle_gamma 90.00
loop_
_atom_site_label
_atom_site_type_symbol
_atom_site_fract_x
_atom_site_fract_y
_atom_site_fract_z
_atom_site_occupancy
Th1 Th 0.0000 0.0000 0.0000 1
Sn1 Sn 0.0000 0.0000 0.5000 1
Pd1 Pd 0.0000 0.5000 0.2574 1
Pd2 Pd 0.5000 0.5000 0.0000 1
Pd3 Pd 0.5000 0.5000 0.5000 1
```

***

10.
This entry pairs a crystal structure of TiSnPd4 with its calculated XRD peak list. Radiation: Cu Ka. Structure: DFT lattice parameters and positions (GGA-PBE).
Kinematic intensities with the Lorentz-polarization factor, no thermal factor.

Top 10 peaks for 10 to 90 degrees two-theta, in order of rising 2θ:
two_theta  I/Imax  h k l
38.59  100  1 1 -2
39.20  96  3 1 0
43.61  35  2 0 2
44.05  34  4 0 -2
47.91  27  0 2 0
66.77  19  2 2 2
67.10  19  4 2 -2
76.33  12  1 1 4
76.95  12  5 1 -4
77.50  12  5 1 2

Structure:
```
data_TiSnPd4
_chemical_formula_sum 'Ti2 Sn2 Pd8'
_space_group_name_H-M_alt 'C 1 2/m 1'
_space_group_IT_number 12
_cell_length_a 9.1248
_cell_length_b 3.7975
_cell_length_c 5.9137
_cell_angle_alpha 90.00
_cell_angle_beta 108.36
_cell_angle_gamma 90.00
loop_
_space_group_symop_operation_xyz
'x,y,z'
'-x,-y,-z'
'-x,y,-z'
'x,-y,z'
'x+1/2,y+1/2,z'
'-x+1/2,-y+1/2,-z'
'-x+1/2,y+1/2,-z'
'x+1/2,-y+1/2,z'
loop_
_atom_site_label
_atom_site_type_symbol
_atom_site_fract_x
_atom_site_fract_y
_atom_site_fract_z
_atom_site_occupancy
Ti1 Ti 0.0000 0.0000 0.0000 1
Sn1 Sn 0.0000 0.0000 0.5000 1
Pd1 Pd 0.1599 0.5000 0.3222 1
Pd2 Pd 0.1643 0.5000 0.8454 1
```

***

11.
This entry pairs a crystal structure of Ti3Sn2Pd8 with its calculated XRD peak list. Radiation: Cu Ka. Structure: DFT lattice parameters and positions (GGA-PBE).
Kinematic intensities with the Lorentz-polarization factor, no thermal factor.

Top 10 peaks for 10 to 90 degrees two-theta, in order of rising 2θ:
two_theta  I/Imax  h k l
33.75  33  1 1 0
35.09  58  1 1 3
39.70  100  2 0 2
40.04  75  0 1 11
42.40  52  2 0 5
44.59  52  1 1 9
45.32  42  0 2 7
60.88  32  2 0 14
64.62  35  1 2 11
70.98  39  2 2 0

Structure:
```
data_Ti3Sn2Pd8
_chemical_formula_sum 'Ti9 Sn6 Pd24'
_space_group_name_H-M_alt 'R -3 m'
_space_group_IT_number 166
_space_group_name_Hall '-R 3 2"'
_cell_length_a 5.3118
_cell_length_b 5.3118
_cell_length_c 28.4070
_cell_angle_alpha 90.00
_cell_angle_beta 90.00
_cell_angle_gamma 120.00
loop_
_atom_site_label
_atom_site_type_symbol
_atom_site_fract_x
_atom_site_fract_y
_atom_site_fract_z
_atom_site_occupancy
Ti1 Ti 0.0000 0.0000 0.0000 1
Ti2 Ti 0.0000 0.0000 0.1894 1
Sn1 Sn 0.0000 0.0000 0.3686 1
Pd1 Pd 0.0000 0.0000 0.2764 1
Pd2 Pd 0.0003 0.5001 0.2175 1
```